[1]
Starting from DFT lattice parameters and positions (GGA-PBE), the powder X-ray diffraction pattern of Tm2Zn3InNi2 was simulated for CuKα.
Neutral-atom scattering factors, no anomalous dispersion.

Top 8 peaks for 10 to 90 degrees two-theta, in order of rising 2θ:
(hkl), Position (°2θ), intensity
1 1 -2, 34.20, 92
1 1 2, 34.41, 100
3 1 0, 36.04, 39
3 1 -1, 38.02, 81
3 1 1, 38.31, 59
4 0 1, 40.38, 34
2 0 3, 42.08, 30
0 2 0, 44.31, 96

Structure:
```
data_Tm2Zn3InNi2
_chemical_formula_sum 'Tm4 Zn6 In2 Ni4'
_cell_length_a 9.4330
_cell_length_b 4.0868
_cell_length_c 7.2930
_cell_angle_alpha 90.00
_cell_angle_beta 90.88
_cell_angle_gamma 90.00
_symmetry_space_group_name_H-M 'C 1 m 1'
_symmetry_Int_Tables_number 8
loop_
_symmetry_equiv_pos_as_xyz
'x,y,z'
'x,-y,z'
'x+1/2,y+1/2,z'
'x+1/2,-y+1/2,z'
loop_
_atom_site_label
_atom_site_type_symbol
_atom_site_fract_x
_atom_site_fract_y
_atom_site_fract_z
Tm1 Tm 0.0000 0.0000 0.0000
Tm2 Tm 0.1351 0.0000 0.5320
Zn1 Zn 0.2126 0.5000 0.8175
Zn2 Zn 0.4203 0.0000 0.3248
Zn3 Zn 0.4262 0.0000 0.7078
In1 In 0.2098 0.5000 0.2142
Ni1 Ni 0.2912 0.0000 0.0044
Ni2 Ni 0.3514 0.5000 0.5268
```

---

[2]
Starting from DFT lattice parameters and positions (GGA-PBE), the powder X-ray diffraction pattern of YAl2Co was simulated for CuKα.
Neutral-atom scattering factors, no anomalous dispersion.

Top 8 peaks for 10 to 90 degrees two-theta, in order of rising 2θ:
(hkl), Position (°2θ), intensity
1 3 0, 25.86, 40
1 1 1, 31.85, 80
1 3 1, 34.84, 100
0 6 1, 37.63, 36
1 7 0, 40.84, 73
2 0 0, 43.24, 42
0 0 2, 46.87, 33
1 7 2, 63.88, 37

Structure:
```
data_YAl2Co
_chemical_formula_sum 'Y4 Al8 Co4'
_cell_length_a 4.1845
_cell_length_b 18.2131
_cell_length_c 3.8769
_cell_angle_alpha 90.00
_cell_angle_beta 90.00
_cell_angle_gamma 90.00
_symmetry_space_group_name_H-M 'C m m m'
_symmetry_Int_Tables_number 65
_symmetry_space_group_name_Hall '-C 2 2'
loop_
_atom_site_label
_atom_site_type_symbol
_atom_site_fract_x
_atom_site_fract_y
_atom_site_fract_z
Y1 Y 0.0000 0.1411 0.0000
Al1 Al 0.0000 0.0000 0.5000
Al2 Al 0.0000 0.2918 0.5000
Al3 Al 0.0000 0.5000 0.0000
Co1 Co 0.0000 0.4248 0.5000
```